Computed XRD peak list
Compound: ZrCuO4F6
Radiation: Cu Kα
Structure: a GGA-PBE-relaxed structure
Peak positions follow from Bragg's law for the DFT cell and can differ from measured ones.

Largest 10 diffraction maxima, low angle first, 10° ≤ 2θ ≤ 90°:
2theta	Rel. int.
20.10	47
21.85	100
23.65	97
24.49	33
31.88	17
36.26	45
38.89	16
43.59	43
44.55	25
50.31	19

Structural model:
Lattice parameters (Å, degrees): 5.466 8.834 7.308 90.00 95.80 90.00
Fractional positions:
Zr: 0.000 0.000 0.000
Zr: 0.000 0.500 0.500
Cu: 0.500 0.000 0.500
Cu: 0.500 0.500 0.000
O: 0.258 0.113 0.579
O: 0.258 0.387 0.079
O: 0.386 0.666 0.107
O: 0.386 0.834 0.607
O: 0.614 0.166 0.393
O: 0.614 0.334 0.893
O: 0.742 0.613 0.921
O: 0.742 0.887 0.421
F: 0.190 0.648 0.352
F: 0.190 0.852 0.852
F: 0.229 0.536 0.731
F: 0.229 0.964 0.231
F: 0.235 0.170 0.929
F: 0.235 0.330 0.429
F: 0.765 0.670 0.571
F: 0.765 0.830 0.071
F: 0.771 0.036 0.769
F: 0.771 0.464 0.269
F: 0.810 0.148 0.148
F: 0.810 0.352 0.648

---

Computed XRD peak list
Compound: Cu3PF12
Radiation: Cu Kα
Structure: a GGA-PBE-relaxed structure
Peak positions follow from Bragg's law for the DFT cell and can differ from measured ones.

Largest 10 diffraction maxima, low angle first, 10° ≤ 2θ ≤ 90°:
2theta	Rel. int.
23.40	100
33.34	21
44.60	3
47.86	26
53.94	32
59.58	7
70.01	13
74.96	13
79.79	4
89.27	4

Structural model:
Lattice parameters (Å, degrees): 6.584 6.584 6.584 109.47 109.47 109.47
Fractional positions:
Cu: 0.000 0.500 0.500
Cu: 0.500 0.000 0.500
Cu: 0.500 0.500 0.000
P: 0.000 0.000 0.000
F: 0.000 0.214 0.214
F: 0.000 0.786 0.786
F: 0.214 0.000 0.214
F: 0.214 0.214 0.000
F: 0.250 0.500 0.750
F: 0.250 0.750 0.500
F: 0.500 0.250 0.750
F: 0.500 0.750 0.250
F: 0.750 0.250 0.500
F: 0.750 0.500 0.250
F: 0.786 0.000 0.786
F: 0.786 0.786 0.000

---

Computed XRD peak list
Compound: CuPbF6
Radiation: Cu Kα
Structure: a GGA-PBE-relaxed structure
Peak positions follow from Bragg's law for the DFT cell and can differ from measured ones.

Largest 10 diffraction maxima, low angle first, 10° ≤ 2θ ≤ 90°:
2theta	Rel. int.
18.38	16
19.42	14
21.69	58
22.97	100
30.28	20
31.46	16
31.79	17
32.14	13
46.95	19
51.64	14

Structural model:
Lattice parameters (Å, degrees): 5.338 5.398 5.648 62.43 89.79 62.65
Fractional positions:
Cu: 0.000 0.000 0.000
Pb: 0.500 0.000 0.500
F: 0.126 0.108 0.239
F: 0.234 0.120 0.763
F: 0.379 0.485 0.258
F: 0.621 0.515 0.742
F: 0.766 0.880 0.237
F: 0.874 0.892 0.761